No. 1
EuNiIr: theoretical X-ray powder pattern (Cu Kα X-rays), based on DFT lattice parameters and positions (GGA-PBE).

Crystal structure
```
data_EuNiIr
_chemical_formula_sum 'Eu1 Ni1 Ir1'
_cell_length_a 4.1131
_cell_length_b 4.1131
_cell_length_c 4.1657
_cell_angle_alpha 90.00
_cell_angle_beta 90.00
_cell_angle_gamma 120.00
_space_group_name_H-M_alt 'P -6 m 2'
_space_group_IT_number 187
_space_group_name_Hall 'P -6 2'
loop_
_atom_site_label
_atom_site_type_symbol
_atom_site_fract_x
_atom_site_fract_y
_atom_site_fract_z
Eu1 Eu 0.0000 0.0000 0.0000
Ni1 Ni 0.3333 0.6667 0.5000
Ir1 Ir 0.6667 0.3333 0.5000
```

Main lines, by angle (10° ≤ 2θ ≤ 90°):
h k l  2θ/deg  intensity
1 0 0  25.0  13
1 0 1  33.1  100
0 0 2  43.4  15
1 1 0  44.0  42
2 0 1  56.2  22
1 1 2  63.6  28
1 0 3  73.2  10
2 1 1  74.0  20

=====

No. 2
PaGeSe2N: theoretical X-ray powder pattern (Cu Kα X-rays), based on DFT lattice parameters and positions (GGA-PBE).

Crystal structure
```
data_PaGeSe2N
_chemical_formula_sum 'Pa2 Ge2 Se4 N2'
_cell_length_a 3.8788
_cell_length_b 3.8788
_cell_length_c 13.7107
_cell_angle_alpha 90.00
_cell_angle_beta 90.00
_cell_angle_gamma 90.00
_space_group_name_H-M_alt 'P 4/n m m'
_space_group_IT_number 129
loop_
_space_group_symop_operation_xyz
'x,y,z'
'-x,-y,-z'
'-y+1/2,x,z'
'y+1/2,-x,-z'
'-x+1/2,-y+1/2,z'
'x+1/2,y+1/2,-z'
'y,-x+1/2,z'
'-y,x+1/2,-z'
'x+1/2,-y,-z'
'-x+1/2,y,z'
'-y,-x,-z'
'y,x,z'
'-x,y+1/2,-z'
'x,-y+1/2,z'
'y+1/2,x+1/2,-z'
'-y+1/2,-x+1/2,z'
loop_
_atom_site_label
_atom_site_type_symbol
_atom_site_fract_x
_atom_site_fract_y
_atom_site_fract_z
Pa1 Pa 0.2500 0.2500 0.0889
Ge1 Ge 0.2500 0.2500 0.5925
Se1 Se 0.2500 0.2500 0.3969
Se2 Se 0.2500 0.2500 0.8072
N1 N 0.2500 0.7500 0.0000
```

Main lines, by angle (10° ≤ 2θ ≤ 90°):
h k l  2θ/deg  intensity
1 0 2  26.4  34
1 0 3  30.2  84
1 1 0  32.6  100
1 0 4  34.9  61
1 1 4  42.2  34
2 0 0  46.8  41
2 1 3  56.8  29
3 1 0  77.9  29

=====

No. 3
NdSi2Pt7Pb2: theoretical X-ray powder pattern (Cu Kα X-rays), based on DFT lattice parameters and positions (GGA-PBE).

Crystal structure
```
data_NdSi2Pt7Pb2
_chemical_formula_sum 'Nd2 Si4 Pt14 Pb4'
_cell_length_a 5.6940
_cell_length_b 5.6974
_cell_length_c 15.5408
_cell_angle_alpha 90.00
_cell_angle_beta 100.23
_cell_angle_gamma 90.00
_space_group_name_H-M_alt 'C 1 2/m 1'
_space_group_IT_number 12
loop_
_space_group_symop_operation_xyz
'x,y,z'
'-x,-y,-z'
'-x,y,-z'
'x,-y,z'
'x+1/2,y+1/2,z'
'-x+1/2,-y+1/2,-z'
'-x+1/2,y+1/2,-z'
'x+1/2,-y+1/2,z'
loop_
_atom_site_label
_atom_site_type_symbol
_atom_site_fract_x
_atom_site_fract_y
_atom_site_fract_z
Nd1 Nd 0.0000 0.0000 0.0000
Si1 Si 0.1139 0.5000 0.2354
Pt1 Pt 0.0000 0.5000 0.0000
Pt2 Pt 0.1776 0.2500 0.8500
Pt3 Pt 0.1925 0.5000 0.3866
Pb1 Pb 0.2083 0.0000 0.4188
```

Main lines, by angle (10° ≤ 2θ ≤ 90°):
h k l  2θ/deg  intensity
0 0 2  11.6  29
0 0 4  23.3  40
0 0 5  29.2  42
2 0 0  32.0  69
0 2 2  33.6  48
0 2 3  36.1  100
2 0 -4  36.2  33
2 2 -1  45.0  90

=====

No. 4
La2Sm7Tm: theoretical X-ray powder pattern (Cu Kα X-rays), based on DFT lattice parameters and positions (GGA-PBE).

Crystal structure
```
data_La2Sm7Tm
_chemical_formula_sum 'La2 Sm7 Tm1'
_cell_length_a 5.1560
_cell_length_b 7.2607
_cell_length_c 9.6527
_cell_angle_alpha 79.03
_cell_angle_beta 74.52
_cell_angle_gamma 89.95
_space_group_name_H-M_alt 'P -1'
_space_group_IT_number 2
loop_
_space_group_symop_operation_xyz
'x,y,z'
'-x,-y,-z'
loop_
_atom_site_label
_atom_site_type_symbol
_atom_site_fract_x
_atom_site_fract_y
_atom_site_fract_z
La1 La 0.1994 0.1013 0.1012
Sm1 Sm 0.0000 0.0000 0.5000
Sm2 Sm 0.1982 0.5983 0.1034
Sm3 Sm 0.4014 0.6974 0.6974
Sm4 Sm 0.4026 0.2030 0.6952
Tm1 Tm 0.0000 0.5000 0.5000
```

Main lines, by angle (10° ≤ 2θ ≤ 90°):
h k l  2θ/deg  intensity
1 2 1  30.0  100
1 -2 0  30.1  33
2 0 1  34.8  45
0 2 -2  34.9  22
2 2 4  50.1  32
3 2 2  59.5  24
1 4 4  59.6  14
3 2 7  81.3  10

=====

No. 5
Ce4TlAu2: theoretical X-ray powder pattern (Cu Kα X-rays), based on DFT lattice parameters and positions (GGA-PBE).

Crystal structure
```
data_Ce4TlAu2
_chemical_formula_sum 'Ce12 Tl3 Au6'
_cell_length_a 5.1308
_cell_length_b 5.1308
_cell_length_c 25.7548
_cell_angle_alpha 90.00
_cell_angle_beta 90.00
_cell_angle_gamma 120.00
_space_group_name_H-M_alt 'R -3 m'
_space_group_IT_number 166
_space_group_name_Hall '-R 3 2"'
loop_
_atom_site_label
_atom_site_type_symbol
_atom_site_fract_x
_atom_site_fract_y
_atom_site_fract_z
Ce1 Ce 0.0000 0.0000 0.1117
Ce2 Ce 0.0000 0.0000 0.2716
Tl1 Tl 0.0000 0.0000 0.5000
Au1 Au 0.0000 0.0000 0.3846
```

Main lines, by angle (10° ≤ 2θ ≤ 90°):
h k l  2θ/deg  intensity
1 0 1  20.3  29
0 1 8  34.4  64
1 1 0  35.0  100
1 1 9  47.6  21
2 0 8  49.9  22
1 2 8  62.4  23
3 0 0  62.7  19
1 1 18  76.2  17

=====

No. 6
Y3Pu3ScSe8: theoretical X-ray powder pattern (Cu Kα X-rays), based on DFT lattice parameters and positions (GGA-PBE).

Crystal structure
```
data_Y3Pu3ScSe8
_chemical_formula_sum 'Y6 Pu6 Sc2 Se16'
_cell_length_a 14.1808
_cell_length_b 8.1711
_cell_length_c 8.1910
_cell_angle_alpha 90.00
_cell_angle_beta 125.23
_cell_angle_gamma 90.00
_space_group_name_H-M_alt 'C 1 2/m 1'
_space_group_IT_number 12
loop_
_space_group_symop_operation_xyz
'x,y,z'
'-x,-y,-z'
'-x,y,-z'
'x,-y,z'
'x+1/2,y+1/2,z'
'-x+1/2,-y+1/2,-z'
'-x+1/2,y+1/2,-z'
'x+1/2,-y+1/2,z'
loop_
_atom_site_label
_atom_site_type_symbol
_atom_site_fract_x
_atom_site_fract_y
_atom_site_fract_z
Y1 Y 0.0000 0.0000 0.0000
Y2 Y 0.2500 0.2500 0.0000
Pu1 Pu 0.0000 0.5000 0.5000
Pu2 Pu 0.2500 0.2500 0.5000
Sc1 Sc 0.0000 0.5000 0.0000
Se1 Se 0.0023 0.2553 0.7614
Se2 Se 0.2428 0.5000 0.2399
Se3 Se 0.2485 0.0000 0.2459
```

Main lines, by angle (10° ≤ 2θ ≤ 90°):
h k l  2θ/deg  intensity
0 0 1  13.2  20
2 0 0  15.3  15
0 2 0  21.7  13
4 0 -1  25.5  15
4 0 0  30.9  100
6 2 -2  44.3  62
4 4 0  55.0  13
10 2 -2  73.1  22

=====

No. 7
SrZrP2O8: theoretical X-ray powder pattern (Cu Kα X-rays), based on DFT lattice parameters and positions (GGA-PBE).

Crystal structure
```
data_SrZrP2O8
_chemical_formula_sum 'Sr2 Zr2 P4 O16'
_cell_length_a 5.2045
_cell_length_b 7.8454
_cell_length_c 8.0849
_cell_angle_alpha 91.62
_cell_angle_beta 96.26
_cell_angle_gamma 90.41
_space_group_name_H-M_alt 'P -1'
_space_group_IT_number 2
loop_
_space_group_symop_operation_xyz
'x,y,z'
'-x,-y,-z'
loop_
_atom_site_label
_atom_site_type_symbol
_atom_site_fract_x
_atom_site_fract_y
_atom_site_fract_z
Sr1 Sr 0.2094 0.0253 0.2749
Zr1 Zr 0.1654 0.5284 0.2215
P1 P 0.2820 0.2495 0.8798
P2 P 0.2957 0.7079 0.6215
O1 O 0.0561 0.6837 0.7207
O2 O 0.0786 0.2517 0.7210
O3 O 0.1899 0.4183 0.9680
O4 O 0.2473 0.0897 0.9746
O5 O 0.2672 0.5836 0.4701
O6 O 0.3117 0.8960 0.5770
O7 O 0.4381 0.7252 0.1667
O8 O 0.4581 0.3387 0.2627
```

Main lines, by angle (10° ≤ 2θ ≤ 90°):
h k l  2θ/deg  intensity
1 0 -1  19.4  62
0 0 2  22.1  98
1 -2 0  28.4  42
1 2 -1  29.9  100
-1 2 1  30.1  54
1 2 1  31.8  49
2 0 0  34.7  37
1 0 3  39.6  39

=====

No. 8
Y2Hf2Al: theoretical X-ray powder pattern (Cu Kα X-rays), based on DFT lattice parameters and positions (GGA-PBE).

Crystal structure
```
data_Y2Hf2Al
_chemical_formula_sum 'Y4 Hf4 Al2'
_cell_length_a 7.4030
_cell_length_b 7.4030
_cell_length_c 4.7102
_cell_angle_alpha 90.00
_cell_angle_beta 90.00
_cell_angle_gamma 90.00
_space_group_name_H-M_alt 'P 4/m b m'
_space_group_IT_number 127
_space_group_name_Hall '-P 4 2ab'
loop_
_atom_site_label
_atom_site_type_symbol
_atom_site_fract_x
_atom_site_fract_y
_atom_site_fract_z
Y1 Y 0.1601 0.3399 0.0000
Hf1 Hf 0.1401 0.6401 0.5000
Al1 Al 0.0000 0.0000 0.5000
```

Main lines, by angle (10° ≤ 2θ ≤ 90°):
h k l  2θ/deg  intensity
1 1 0  16.9  22
0 0 1  18.8  11
2 1 1  33.1  100
0 0 2  38.2  16
3 1 0  38.5  21
3 1 2  55.3  14
2 1 3  65.8  14
5 2 1  71.5  15

=====

No. 9
La2RuRhO6: theoretical X-ray powder pattern (Cu Kα X-rays), based on DFT lattice parameters and positions (GGA-PBE).

Crystal structure
```
data_La2RuRhO6
_chemical_formula_sum 'La4 Ru2 Rh2 O12'
_cell_length_a 5.7370
_cell_length_b 7.9806
_cell_length_c 5.7786
_cell_angle_alpha 90.00
_cell_angle_beta 90.00
_cell_angle_gamma 90.00
_space_group_name_H-M_alt 'P m m n'
_space_group_IT_number 59
loop_
_space_group_symop_operation_xyz
'x,y,z'
'-x,-y,-z'
'-x+1/2,-y+1/2,z'
'x+1/2,y+1/2,-z'
'x+1/2,-y,-z'
'-x+1/2,y,z'
'-x,y+1/2,-z'
'x,-y+1/2,z'
loop_
_atom_site_label
_atom_site_type_symbol
_atom_site_fract_x
_atom_site_fract_y
_atom_site_fract_z
La1 La 0.2500 0.0247 0.2111
Ru1 Ru 0.2500 0.7500 0.7410
Rh1 Rh 0.2500 0.2500 0.7282
O1 O 0.0109 0.2500 0.0014
O2 O 0.0392 0.2500 0.4447
O3 O 0.2500 0.5024 0.7898
```

Main lines, by angle (10° ≤ 2θ ≤ 90°):
h k l  2θ/deg  intensity
0 0 2  31.0  25
2 0 0  31.2  29
1 2 1  31.4  100
2 0 2  44.5  29
0 4 0  45.5  13
1 2 3  55.3  16
3 2 1  55.6  21
2 4 2  65.5  14

=====

No. 10
LaH3Pd: theoretical X-ray powder pattern (Cu Kα X-rays), based on DFT lattice parameters and positions (GGA-PBE).

Crystal structure
```
data_LaH3Pd
_chemical_formula_sum 'La4 H12 Pd4'
_cell_length_a 12.2524
_cell_length_b 3.9491
_cell_length_c 5.0230
_cell_angle_alpha 90.00
_cell_angle_beta 93.87
_cell_angle_gamma 90.00
_space_group_name_H-M_alt 'C 1 m 1'
_space_group_IT_number 8
loop_
_space_group_symop_operation_xyz
'x,y,z'
'x,-y,z'
'x+1/2,y+1/2,z'
'x+1/2,-y+1/2,z'
loop_
_atom_site_label
_atom_site_type_symbol
_atom_site_fract_x
_atom_site_fract_y
_atom_site_fract_z
La1 La 0.0000 0.0000 0.0000
La2 La 0.2246 0.5000 0.5255
H1 H 0.0530 0.5000 0.2472
H2 H 0.0548 0.5000 0.7484
H3 H 0.1698 0.0000 0.2831
H4 H 0.1722 0.0000 0.7788
H5 H 0.2874 0.5000 0.0432
H6 H 0.3630 0.0000 0.7519
Pd1 Pd 0.2816 0.0000 0.0448
Pd2 Pd 0.4485 0.0000 0.4839
```

Main lines, by angle (10° ≤ 2θ ≤ 90°):
h k l  2θ/deg  intensity
4 0 0  29.2  52
1 1 -1  29.4  100
1 1 1  30.0  51
3 1 0  31.5  33
3 1 -1  35.6  51
0 0 2  35.8  49
3 1 1  37.2  57
0 2 0  46.0  27

=====

No. 11
K4Tl5Ga: theoretical X-ray powder pattern (Cu Kα X-rays), based on DFT lattice parameters and positions (GGA-PBE).

Crystal structure
```
data_K4Tl5Ga
_chemical_formula_sum 'K8 Tl10 Ga2'
_cell_length_a 10.5406
_cell_length_b 10.5406
_cell_length_c 7.0955
_cell_angle_alpha 90.00
_cell_angle_beta 90.00
_cell_angle_gamma 90.00
_space_group_name_H-M_alt 'I 4'
_space_group_IT_number 79
loop_
_space_group_symop_operation_xyz
'x,y,z'
'-y,x,z'
'-x,-y,z'
'y,-x,z'
'x+1/2,y+1/2,z+1/2'
'-y+1/2,x+1/2,z+1/2'
'-x+1/2,-y+1/2,z+1/2'
'y+1/2,-x+1/2,z+1/2'
loop_
_atom_site_label
_atom_site_type_symbol
_atom_site_fract_x
_atom_site_fract_y
_atom_site_fract_z
K1 K 0.0666 0.3054 0.0000
Tl1 Tl 0.0000 0.0000 0.8100
Tl2 Tl 0.0752 0.2057 0.4888
Ga1 Ga 0.0000 0.0000 0.2200
```

Main lines, by angle (10° ≤ 2θ ≤ 90°):
h k l  2θ/deg  intensity
1 1 0  11.9  100
1 0 1  15.1  78
2 1 1  22.6  51
1 3 0  26.7  66
3 2 1  33.1  70
2 2 2  34.9  44
3 1 2  37.0  81
1 4 1  37.4  38

=====

No. 12
KHg5H6: theoretical X-ray powder pattern (Cu Kα X-rays), based on DFT lattice parameters and positions (GGA-PBE).

Crystal structure
```
data_KHg5H6
_chemical_formula_sum 'K2 Hg10 H12'
_cell_length_a 7.2283
_cell_length_b 10.5790
_cell_length_c 7.0054
_cell_angle_alpha 90.00
_cell_angle_beta 118.33
_cell_angle_gamma 90.00
_space_group_name_H-M_alt 'C 1 2/m 1'
_space_group_IT_number 12
loop_
_space_group_symop_operation_xyz
'x,y,z'
'-x,-y,-z'
'-x,y,-z'
'x,-y,z'
'x+1/2,y+1/2,z'
'-x+1/2,-y+1/2,-z'
'-x+1/2,y+1/2,-z'
'x+1/2,-y+1/2,z'
loop_
_atom_site_label
_atom_site_type_symbol
_atom_site_fract_x
_atom_site_fract_y
_atom_site_fract_z
K1 K 0.0000 0.0000 0.0000
Hg1 Hg 0.0000 0.0000 0.5000
Hg2 Hg 0.0000 0.3370 0.0000
Hg3 Hg 0.0000 0.3501 0.5000
H1 H 0.1823 0.0000 0.7618
H2 H 0.2348 0.1502 0.3703
```

Main lines, by angle (10° ≤ 2θ ≤ 90°):
h k l  2θ/deg  intensity
2 0 0  28.0  36
0 0 2  29.0  100
2 0 -2  29.2  35
1 3 -2  36.1  37
1 3 2  46.2  19
3 3 -2  46.6  18
3 3 0  50.2  15
4 0 -4  60.7  20

=====

No. 13
VZn3I9: theoretical X-ray powder pattern (Cu Kα X-rays), based on DFT lattice parameters and positions (GGA-PBE).

Crystal structure
```
data_VZn3I9
_chemical_formula_sum 'V4 Zn12 I36'
_cell_length_a 19.4252
_cell_length_b 9.9748
_cell_length_c 14.0202
_cell_angle_alpha 90.00
_cell_angle_beta 129.08
_cell_angle_gamma 90.00
_space_group_name_H-M_alt 'C 1 c 1'
_space_group_IT_number 9
loop_
_space_group_symop_operation_xyz
'x,y,z'
'x,-y,z+1/2'
'x+1/2,y+1/2,z'
'x+1/2,-y+1/2,z+1/2'
loop_
_atom_site_label
_atom_site_type_symbol
_atom_site_fract_x
_atom_site_fract_y
_atom_site_fract_z
V1 V 0.0000 0.2234 0.0000
Zn1 Zn 0.1295 0.1136 0.8222
Zn2 Zn 0.2314 0.4432 0.7236
Zn3 Zn 0.3709 0.0723 0.6738
I1 I 0.0032 0.3079 0.2020
I2 I 0.0999 0.3474 0.7151
I3 I 0.1353 0.0617 0.1846
I4 I 0.1437 0.3713 0.0482
I5 I 0.2483 0.2579 0.6003
I6 I 0.2998 0.1312 0.0176
I7 I 0.3623 0.4547 0.4405
I8 I 0.3963 0.0623 0.3662
I9 I 0.4954 0.4165 0.3247
```

Main lines, by angle (10° ≤ 2θ ≤ 90°):
h k l  2θ/deg  intensity
1 1 1  15.5  56
5 1 -2  24.7  61
5 1 -3  25.3  33
2 0 2  25.5  65
2 2 -3  26.4  100
3 1 -4  27.1  42
1 3 -1  27.6  29
7 1 -1  38.2  33